1.
Simulated X-ray powder pattern
Compound: Cs2LaAlS4
Radiation: copper Kα
Structure: a PBE-relaxed structure
Kinematic intensities with the Lorentz-polarization factor, no thermal factor.

Structure:
```
Cs2LaAlS4
1.0
5.7074 -5.9438 0.0000
5.7074 5.9438 0.0000
-3.6888 0.0000 7.7585
Cs La Al S
4 2 2 8
Direct
0.0000 0.0000 0.0000
0.0000 0.0000 0.5000
0.0000 0.5000 0.0000
0.5000 0.0000 0.5000
0.5000 0.5000 0.0000
0.5000 0.5000 0.5000
0.0000 0.5000 0.5000
0.5000 0.0000 0.0000
0.1818 0.6515 0.4284
0.2575 0.3717 0.6447
0.3485 0.8182 0.0716
0.3717 0.2575 0.1447
0.6283 0.7425 0.8553
0.6515 0.1818 0.9284
0.7425 0.6283 0.3553
0.8182 0.3485 0.5716
```

Largest 10 diffraction maxima, most intense first, 2θ from 10° to 90°:
2theta, d/Å, I_rel
22.88, 3.887, 100.0
26.66, 3.344, 32.7
37.67, 2.388, 28.7
30.07, 2.972, 27.2
38.14, 2.360, 26.6
32.42, 2.762, 23.9
44.81, 2.023, 22.5
34.82, 2.577, 14.1
44.95, 2.017, 13.5
55.69, 1.650, 10.7

2.
Simulated X-ray powder pattern
Compound: Cd3In2Pb3
Radiation: copper Kα
Structure: a PBE-relaxed structure
Kinematic intensities with the Lorentz-polarization factor, no thermal factor.

Structure:
```
Cd3In2Pb3
1.0
4.6145 2.6642 3.0760
-4.6145 2.6642 3.0760
0.0000 -5.3284 3.0760
Cd In Pb
3 2 3
Direct
0.0000 0.2914 0.7086
0.2914 0.7086 0.0000
0.7086 0.0000 0.2914
0.1935 0.1935 0.1935
0.8065 0.8065 0.8065
0.2720 0.7280 0.5000
0.5000 0.2720 0.7280
0.7280 0.5000 0.2720
```

Largest 10 diffraction maxima, most intense first, 2θ from 10° to 90°:
2theta, d/Å, I_rel
31.15, 2.871, 100.0
35.06, 2.559, 78.0
35.52, 2.527, 54.9
33.64, 2.664, 29.7
29.57, 3.021, 27.9
61.08, 1.517, 27.7
58.61, 1.575, 26.0
49.73, 1.834, 23.4
52.46, 1.744, 16.3
79.29, 1.208, 13.8

3.
Simulated X-ray powder pattern
Compound: Li2NdPb2
Radiation: copper Kα
Structure: a PBE-relaxed structure
Kinematic intensities with the Lorentz-polarization factor, no thermal factor.

Structure:
```
Li2NdPb2
1.0
9.1615 0.0000 0.0000
0.0000 5.3909 0.0000
-1.8033 0.0000 4.9811
Li Nd Pb
4 2 4
Direct
0.1090 0.0000 0.2376
0.3910 0.5000 0.7624
0.6090 0.5000 0.2376
0.8910 0.0000 0.7624
0.0000 0.5000 0.5000
0.5000 0.0000 0.5000
0.2399 0.0000 0.8157
0.2601 0.5000 0.1843
0.7399 0.5000 0.8157
0.7601 0.0000 0.1843
```

Largest 10 diffraction maxima, most intense first, 2θ from 10° to 90°:
2theta, d/Å, I_rel
28.80, 3.100, 100.0
34.55, 2.596, 55.0
22.22, 4.001, 40.8
33.24, 2.695, 40.3
37.89, 2.374, 39.3
20.62, 4.307, 26.7
23.93, 3.718, 25.2
41.95, 2.154, 19.1
54.54, 1.683, 17.9
40.35, 2.235, 17.8

4.
Simulated X-ray powder pattern
Compound: NaSnMoH
Radiation: copper Kα
Structure: a PBE-relaxed structure
Kinematic intensities with the Lorentz-polarization factor, no thermal factor.

Structure:
```
NaSnMoH
1.0
2.8928 0.0000 0.0000
0.6572 3.0203 0.0000
1.3980 -0.0290 7.6672
Na Sn Mo H
1 1 1 1
Direct
0.0000 0.0000 0.0000
0.2979 0.9966 0.3934
0.6631 0.4958 0.6619
0.3936 0.4839 0.1856
```

Largest 10 diffraction maxima, most intense first, 2θ from 10° to 90°:
2theta, d/Å, I_rel
11.54, 7.667, 100.0
31.84, 2.810, 31.9
39.19, 2.299, 29.5
36.23, 2.479, 24.3
36.40, 2.468, 24.0
37.85, 2.377, 20.8
38.00, 2.368, 20.4
35.11, 2.556, 19.4
48.96, 1.861, 17.5
57.61, 1.600, 8.7

5.
Simulated X-ray powder pattern
Compound: AcSm3Tl4
Radiation: copper Kα
Structure: a PBE-relaxed structure
Kinematic intensities with the Lorentz-polarization factor, no thermal factor.

Structure:
```
AcSm3Tl4
1.0
11.1761 0.0000 0.0000
0.0000 7.8175 0.0000
0.0000 0.0000 5.5862
Ac Sm Tl
2 6 8
Direct
0.0000 0.0000 0.0000
0.5000 0.0000 0.0000
0.0000 0.5000 0.0000
0.2500 0.0000 0.4992
0.2500 0.5000 0.4990
0.5000 0.5000 0.0000
0.7500 0.0000 0.5008
0.7500 0.5000 0.5010
0.0000 0.2629 0.5000
0.0000 0.7371 0.5000
0.2500 0.2629 0.9988
0.2500 0.7371 0.9988
0.5000 0.2629 0.5000
0.5000 0.7371 0.5000
0.7500 0.2629 0.0012
0.7500 0.7371 0.0012
```

Largest 10 diffraction maxima, most intense first, 2θ from 10° to 90°:
2theta, d/Å, I_rel
32.22, 2.779, 100.0
32.04, 2.794, 51.5
57.22, 1.610, 39.9
45.94, 1.975, 19.2
57.55, 1.601, 18.8
67.41, 1.389, 11.7
76.21, 1.249, 8.8
46.46, 1.954, 8.8
76.30, 1.248, 8.6
77.08, 1.237, 7.5

6.
Simulated X-ray powder pattern
Compound: Sm2Dy5Ho12
Radiation: copper Kα
Structure: a PBE-relaxed structure
Kinematic intensities with the Lorentz-polarization factor, no thermal factor.

Structure:
```
Sm2Dy5Ho12
1.0
6.1278 0.0000 0.0000
-0.0291 9.3596 0.0000
-1.0116 -2.0221 10.3674
Sm Dy Ho
2 5 12
Direct
0.0789 0.3153 0.4735
0.9211 0.6847 0.5265
0.2376 0.9474 0.4207
0.3419 0.3683 0.0521
0.5000 0.0000 0.0000
0.6581 0.6317 0.9479
0.7624 0.0526 0.5793
0.0264 0.1050 0.1568
0.1315 0.5261 0.7908
0.1847 0.7369 0.1048
0.2891 0.1576 0.7378
0.3954 0.5792 0.3675
0.4474 0.7900 0.6852
0.5526 0.2100 0.3148
0.6046 0.4208 0.6325
0.7109 0.8424 0.2622
0.8153 0.2631 0.8952
0.8685 0.4739 0.2092
0.9736 0.8950 0.8432
```

Largest 10 diffraction maxima, most intense first, 2θ from 10° to 90°:
2theta, d/Å, I_rel
30.96, 2.888, 100.0
35.88, 2.503, 33.8
51.66, 1.769, 24.0
61.49, 1.508, 21.4
35.96, 2.498, 16.8
64.53, 1.444, 12.3
51.73, 1.767, 12.0
61.38, 1.510, 10.7
61.56, 1.506, 10.6
84.45, 1.147, 8.9

7.
Simulated X-ray powder pattern
Compound: CaGdPb
Radiation: copper Kα
Structure: a PBE-relaxed structure
Kinematic intensities with the Lorentz-polarization factor, no thermal factor.

Structure:
```
CaGdPb
1.0
5.3672 0.0000 0.0000
-2.6836 4.6481 0.0000
0.0000 0.0000 3.8289
Ca Gd Pb
1 1 1
Direct
0.0000 0.0000 0.0000
0.6667 0.3333 0.5435
0.3333 0.6667 0.2704
```

Largest 10 diffraction maxima, most intense first, 2θ from 10° to 90°:
2theta, d/Å, I_rel
30.24, 2.955, 100.0
33.39, 2.684, 78.4
19.09, 4.648, 37.6
57.74, 1.597, 32.6
45.66, 1.987, 32.6
51.63, 1.770, 28.9
41.07, 2.198, 24.4
73.11, 1.294, 20.9
23.23, 3.829, 17.2
62.89, 1.478, 16.1

What did the second record say?
Simulated X-ray powder pattern
Compound: Cd3In2Pb3
Radiation: copper Kα
Structure: a PBE-relaxed structure
Kinematic intensities with the Lorentz-polarization factor, no thermal factor.

Structure:
```
Cd3In2Pb3
1.0
4.6145 2.6642 3.0760
-4.6145 2.6642 3.0760
0.0000 -5.3284 3.0760
Cd In Pb
3 2 3
Direct
0.0000 0.2914 0.7086
0.2914 0.7086 0.0000
0.7086 0.0000 0.2914
0.1935 0.1935 0.1935
0.8065 0.8065 0.8065
0.2720 0.7280 0.5000
0.5000 0.2720 0.7280
0.7280 0.5000 0.2720
```

Largest 10 diffraction maxima, most intense first, 2θ from 10° to 90°:
2theta, d/Å, I_rel
31.15, 2.871, 100.0
35.06, 2.559, 78.0
35.52, 2.527, 54.9
33.64, 2.664, 29.7
29.57, 3.021, 27.9
61.08, 1.517, 27.7
58.61, 1.575, 26.0
49.73, 1.834, 23.4
52.46, 1.744, 16.3
79.29, 1.208, 13.8